Starting from DFT lattice parameters and positions (PBE+U), the powder diffractogram of NaMo2P4O14 was computed for Cu Kα X-rays.
No peak broadening, texture or thermal motion is included.

The 12 most intense peaks (2θ from 10° to 90°), sorted by position:
- (0 1 -1), 16.35 deg, I 100
- (0 1 1), 17.05 deg, I 57
- (1 0 1), 21.93 deg, I 51
- (1 -1 1), 22.33 deg, I 27
- (0 1 -2), 24.35 deg, I 16
- (1 1 0), 25.71 deg, I 36
- (-1 1 2), 28.46 deg, I 85
- (1 -1 2), 29.15 deg, I 38
- (1 -2 1), 29.40 deg, I 39
- (0 2 2), 34.49 deg, I 24
- (1 2 -1), 37.49 deg, I 15
- (-1 2 3), 42.60 deg, I 20

Structure:
Cell: 4.9768 7.1404 8.4415 Å, 91.60 92.48 106.67°
Space group P1 (No. 1)
Inequivalent atoms, fractional coordinates:
Na 0.0000 0.0000 0.0000 x1
Mo 0.4048 0.5101 0.9731 x1
Mo 0.9042 0.0102 0.4747 x1
P 0.2849 0.7667 0.2794 x1
P 0.5246 0.2516 0.6684 x1
P 0.8814 0.3781 0.2165 x1
P 0.9273 0.6405 0.7302 x1
O 0.0112 0.8146 0.6242 x1
O 0.0316 0.3298 0.0720 x1
O 0.0950 0.9049 0.2919 x1
O 0.1071 0.5512 0.3240 x1
O 0.1759 0.5671 0.7726 x1
O 0.2797 0.2018 0.5420 x1
O 0.3719 0.7648 0.1082 x1
O 0.4352 0.2545 0.8389 x1
O 0.5296 0.8172 0.4052 x1
O 0.6332 0.4522 0.1744 x1
O 0.7015 0.4677 0.6234 x1
O 0.7142 0.1143 0.6538 x1
O 0.7789 0.6892 0.8755 x1
O 0.7981 0.2044 0.3228 x1